1.
For Ge2PtRh, a PBE-relaxed structure gives the theoretical XRD peak list in this record (a wavelength of 1.5418 Å).
Intensities are scaled so that the largest is 100.

Crystal structure
```
Ge2PtRh
1.0
-1.7599 1.8062 5.0628
1.7599 -1.8062 5.0628
1.7599 1.8062 -5.0628
Ge Pt Rh
2 1 1
Cartesian
0.0000 0.0000 0.0000
0.0000 1.8062 2.5665
1.7599 0.0000 1.9046
0.0000 0.0000 4.3117
```

Largest 10 diffraction maxima, in order of falling intensity, 2θ = 15–90°:
| two_theta | I/Imax |
| --- | --- |
| 39.95 | 100.0 |
| 36.90 | 24.9 |
| 26.19 | 22.5 |
| 35.46 | 19.9 |
| 51.75 | 16.3 |
| 50.53 | 15.0 |
| 51.96 | 13.8 |
| 87.83 | 10.6 |
| 76.39 | 10.3 |
| 64.19 | 10.0 |

2.
For Ca5NdMg6, a PBE-relaxed structure gives the theoretical XRD peak list in this record (a wavelength of 1.5418 Å).
Intensities are scaled so that the largest is 100.

Crystal structure
```
Ca5NdMg6
1.0
8.8718 -3.8967 0.0000
8.8718 3.8967 0.0000
-1.7391 0.0000 5.3492
Ca Nd Mg
5 1 6
Cartesian
0.0000 0.0000 0.0000
1.7850 0.0000 3.5611
5.3359 0.0000 1.7832
10.6687 0.0000 3.5660
14.2196 0.0000 1.7881
8.8718 0.0000 0.0000
4.4852 1.9176 4.4668
8.0023 1.9006 2.6746
11.5194 1.9176 0.8825
4.4852 -1.9176 4.4668
8.0023 -1.9006 2.6746
11.5194 -1.9176 0.8825
```

Largest 10 diffraction maxima, in order of falling intensity, 2θ = 15–90°:
| two_theta | I/Imax |
| --- | --- |
| 31.82 | 100.0 |
| 32.09 | 97.6 |
| 32.23 | 96.5 |
| 57.03 | 35.5 |
| 56.78 | 35.3 |
| 57.55 | 33.7 |
| 22.25 | 28.6 |
| 19.46 | 25.8 |
| 45.41 | 19.3 |
| 22.45 | 19.2 |

3.
For SrSi7N10, a PBE-relaxed structure gives the theoretical XRD peak list in this record (a wavelength of 1.5418 Å).
Intensities are scaled so that the largest is 100.

Crystal structure
```
SrSi7N10
1.0
6.8813 0.0000 0.0000
0.0000 6.7831 0.0000
-2.6774 0.0000 9.3043
Sr Si N
2 14 20
Cartesian
0.0000 0.3091 0.0000
-1.3387 6.4741 4.6522
0.0265 2.6768 3.8650
-1.3122 4.1063 8.5172
0.4803 2.5809 6.7511
1.8190 4.2022 2.0989
1.8610 0.1807 3.3313
0.5223 6.6025 7.9835
3.6344 2.5161 0.2746
2.2956 4.2671 4.9268
2.3042 0.1764 6.2283
3.6430 6.6067 1.5761
4.0676 2.4801 3.1118
2.7289 4.3030 7.7640
4.4858 2.5507 6.0578
5.8245 4.2324 1.4057
-1.1619 2.8665 7.2586
0.1768 3.9167 2.6064
0.4810 1.1187 3.3890
-0.8577 5.6644 8.0411
0.8395 3.3814 5.2668
2.1783 3.4017 0.6147
0.6923 0.8799 6.5736
2.0311 5.9032 1.9215
3.4297 0.7973 0.1280
2.0910 5.9858 4.7801
1.4950 3.1344 8.0541
2.8337 3.6487 3.4020
3.4426 0.8937 2.9628
2.1039 5.8894 7.6149
4.7806 2.8247 1.5469
3.4419 3.9585 6.1991
3.7343 1.0524 6.2621
5.0730 5.7307 1.6100
5.2198 2.5874 4.4149
3.8810 4.1958 9.0670
```

Largest 10 diffraction maxima, in order of falling intensity, 2θ = 15–90°:
| two_theta | I/Imax |
| --- | --- |
| 26.28 | 100.0 |
| 29.95 | 74.8 |
| 31.43 | 59.0 |
| 29.18 | 58.0 |
| 37.49 | 54.2 |
| 29.46 | 53.0 |
| 31.72 | 51.4 |
| 30.07 | 38.4 |
| 39.64 | 37.9 |
| 24.02 | 33.6 |

4.
For Ba2InAsO, a PBE-relaxed structure gives the theoretical XRD peak list in this record (a wavelength of 1.5418 Å).
Intensities are scaled so that the largest is 100.

Crystal structure
```
Ba2InAsO
1.0
7.1428 0.0000 0.0000
0.0000 4.4345 0.0000
-2.2261 0.0000 9.4892
Ba In As O
4 2 2 2
Cartesian
0.4816 1.1086 4.4794
-0.3551 1.1086 8.3650
5.2717 3.3259 1.1242
4.4351 3.3259 5.0098
1.5162 3.3259 1.7013
3.4005 1.1086 7.7879
1.7716 3.3259 6.9808
3.1451 1.1086 2.5084
-0.2717 3.3259 3.2209
5.1884 1.1086 6.2683
```

Largest 10 diffraction maxima, in order of falling intensity, 2θ = 15–90°:
| two_theta | I/Imax |
| --- | --- |
| 27.53 | 100.0 |
| 28.18 | 87.3 |
| 34.80 | 63.5 |
| 25.62 | 62.8 |
| 28.52 | 57.5 |
| 40.69 | 55.3 |
| 32.38 | 54.2 |
| 32.25 | 48.1 |
| 26.68 | 40.9 |
| 40.92 | 39.8 |

5.
For Y2PaTeO8, a PBE-relaxed structure gives the theoretical XRD peak list in this record (a wavelength of 1.5418 Å).
Intensities are scaled so that the largest is 100.

Crystal structure
```
Y2PaTeO8
1.0
3.5196 -3.6406 0.0000
3.5196 3.6406 0.0000
0.0000 0.0000 6.9741
Y Pa Te O
2 1 1 8
Cartesian
0.0000 0.0000 1.7030
0.0000 0.0000 5.2711
3.5196 0.0000 3.4870
3.5196 0.0000 0.0000
1.4155 0.0000 3.4870
1.4868 0.0000 0.0000
3.5196 1.3294 1.6508
3.5196 1.3294 5.3232
3.5196 -1.3294 1.6508
3.5196 -1.3294 5.3232
5.5525 0.0000 0.0000
5.6238 0.0000 3.4870
```

Largest 10 diffraction maxima, in order of falling intensity, 2θ = 15–90°:
| two_theta | I/Imax |
| --- | --- |
| 31.15 | 100.0 |
| 24.45 | 61.2 |
| 25.30 | 53.4 |
| 47.43 | 43.2 |
| 48.40 | 37.9 |
| 35.48 | 27.9 |
| 17.52 | 25.5 |
| 61.02 | 23.9 |
| 35.65 | 11.6 |
| 58.72 | 11.3 |

6.
For Sm4Y2Sc3, a PBE-relaxed structure gives the theoretical XRD peak list in this record (a wavelength of 1.5418 Å).
Intensities are scaled so that the largest is 100.

Crystal structure
```
Sm4Y2Sc3
1.0
9.0264 -1.7569 0.0000
9.0264 1.7569 0.0000
-0.1394 0.0000 8.5547
Sm Y Sc
4 2 3
Cartesian
0.8883 0.0000 2.8106
4.8826 0.0000 5.7262
13.0307 0.0000 2.8286
17.0250 0.0000 5.7442
2.7780 0.0000 8.4934
15.1353 0.0000 0.0613
6.9869 0.0000 2.8756
9.0264 0.0000 0.0000
10.9264 0.0000 5.6791
```

Largest 10 diffraction maxima, in order of falling intensity, 2θ = 15–90°:
| two_theta | I/Imax |
| --- | --- |
| 31.36 | 100.0 |
| 36.15 | 34.4 |
| 62.05 | 27.3 |
| 52.55 | 22.3 |
| 36.80 | 15.8 |
| 62.92 | 12.4 |
| 52.06 | 12.2 |
| 65.45 | 11.3 |
| 85.98 | 10.3 |
| 87.87 | 5.2 |

7.
For AlVCrC, a PBE-relaxed structure gives the theoretical XRD peak list in this record (a wavelength of 1.5418 Å).
Intensities are scaled so that the largest is 100.

Crystal structure
```
AlVCrC
1.0
2.8815 0.0000 0.0000
-1.4407 2.4954 0.0000
0.0000 0.0000 12.8816
Al V Cr C
2 2 2 2
Cartesian
0.0000 1.6636 3.1253
1.4407 0.8318 9.7562
0.0000 1.6636 7.5704
1.4407 0.8318 5.3112
0.0000 1.6636 11.8205
1.4407 0.8318 1.0610
0.0000 0.0000 0.0000
0.0000 0.0000 6.4408
```

Largest 10 diffraction maxima, in order of falling intensity, 2θ = 15–90°:
| two_theta | I/Imax |
| --- | --- |
| 41.87 | 100.0 |
| 35.99 | 18.6 |
| 64.70 | 18.6 |
| 42.09 | 18.3 |
| 56.55 | 16.1 |
| 80.24 | 14.4 |
| 76.77 | 14.0 |
| 80.09 | 12.7 |
| 36.68 | 5.9 |
| 46.01 | 3.9 |

8.
For PmNd4Rh4, a PBE-relaxed structure gives the theoretical XRD peak list in this record (a wavelength of 1.5418 Å).
Intensities are scaled so that the largest is 100.

Crystal structure
```
PmNd4Rh4
1.0
9.0087 0.0000 0.0000
0.0000 9.0087 0.0000
0.0000 0.0000 5.8014
Pm Nd Rh
2 8 8
Cartesian
2.2522 2.2522 1.4503
6.7565 6.7565 4.3510
0.5680 5.9780 0.9514
1.4737 8.4407 3.8521
3.0307 5.0724 3.8521
3.9363 7.5351 0.9514
5.0724 1.4737 4.8500
5.9780 3.9363 1.9493
7.5351 0.5680 1.9493
8.4407 3.0307 4.8500
0.2542 5.6511 3.8098
1.1468 8.7546 0.9091
3.3576 4.7585 0.9091
4.2502 7.8620 3.8098
4.7585 1.1468 1.9916
5.6511 4.2502 4.8923
7.8620 0.2542 4.8923
8.7546 3.3576 1.9916
```

Largest 10 diffraction maxima, in order of falling intensity, 2θ = 15–90°:
| two_theta | I/Imax |
| --- | --- |
| 31.40 | 100.0 |
| 32.43 | 37.0 |
| 45.00 | 33.0 |
| 26.94 | 26.8 |
| 48.06 | 24.6 |
| 38.23 | 24.2 |
| 44.58 | 19.8 |
| 52.44 | 16.3 |
| 43.37 | 15.9 |
| 30.83 | 14.9 |

9.
For HgRuO4, a PBE-relaxed structure gives the theoretical XRD peak list in this record (a wavelength of 1.5418 Å).
Intensities are scaled so that the largest is 100.

Crystal structure
```
HgRuO4
1.0
5.7149 0.0000 0.0000
0.0000 4.7290 0.0000
0.0000 0.0000 5.7782
Hg Ru O
2 2 8
Cartesian
0.0000 0.0000 0.0000
0.0000 2.3645 2.8891
2.8575 0.0000 2.0844
2.8575 2.3645 4.9735
1.2726 0.9117 1.7418
1.2726 1.4527 4.6309
2.1384 3.5426 3.3366
2.1384 3.5509 0.4475
3.5765 1.1781 0.4475
3.5765 1.1864 3.3366
4.4424 3.2762 4.6309
4.4424 3.8172 1.7418
```

Largest 10 diffraction maxima, in order of falling intensity, 2θ = 15–90°:
| two_theta | I/Imax |
| --- | --- |
| 28.97 | 100.0 |
| 24.32 | 25.1 |
| 31.30 | 19.6 |
| 34.79 | 18.9 |
| 54.29 | 18.0 |
| 52.51 | 17.4 |
| 50.07 | 15.3 |
| 40.03 | 13.2 |
| 61.26 | 13.2 |
| 51.21 | 12.4 |

10.
For Li3AlIn4, a PBE-relaxed structure gives the theoretical XRD peak list in this record (a wavelength of 1.5418 Å).
Intensities are scaled so that the largest is 100.

Crystal structure
```
Li3AlIn4
1.0
3.1149 -3.0949 0.0000
3.1149 3.0949 0.0000
-2.9610 0.0000 8.5514
Li Al In
3 1 4
Cartesian
0.0000 0.0000 0.0000
0.0797 0.0000 4.2412
3.1891 0.0000 4.3102
3.1149 0.0000 0.0000
1.6056 1.5508 2.1555
1.6632 1.5508 6.3959
1.6056 -1.5508 2.1555
1.6632 -1.5508 6.3959
```

Largest 10 diffraction maxima, in order of falling intensity, 2θ = 15–90°:
| two_theta | I/Imax |
| --- | --- |
| 20.78 | 100.0 |
| 35.82 | 72.2 |
| 41.12 | 48.8 |
| 28.66 | 45.3 |
| 28.85 | 44.6 |
| 35.35 | 37.4 |
| 35.98 | 35.7 |
| 46.25 | 24.0 |
| 46.75 | 23.2 |
| 42.27 | 22.5 |

11.
For CaCu2F11, a PBE-relaxed structure gives the theoretical XRD peak list in this record (a wavelength of 1.5418 Å).
Intensities are scaled so that the largest is 100.

Crystal structure
```
CaCu2F11
1.0
-4.4730 4.4818 4.9855
4.4730 -4.4818 4.9855
4.4730 4.4818 -4.9855
Ca Cu F
2 4 22
Cartesian
0.0000 0.0000 2.4928
0.0000 0.0000 7.4783
6.3069 1.8386 0.0000
1.8339 2.6431 0.0000
2.6391 1.8386 4.9855
-1.8339 2.6431 4.9855
4.4730 0.0000 0.0000
1.8335 -0.8640 1.2596
5.3342 -2.6459 3.7255
3.2197 1.2547 0.0000
5.3342 2.6459 -1.2600
7.1125 0.8640 1.2596
2.6395 3.6178 -1.2596
0.8612 1.8358 1.2600
3.2197 -1.2547 4.9855
5.3342 2.6459 1.2600
1.8335 0.8640 3.7259
0.0000 4.4818 0.0000
2.6395 3.6178 1.2596
-0.8612 1.8358 3.7255
1.2533 5.7365 0.0000
3.6118 2.6459 3.7255
1.8335 0.8640 6.2452
-2.6395 3.6178 3.7259
-0.8612 1.8358 6.2455
1.2533 3.2271 4.9855
-0.8612 7.1277 1.2600
2.6395 5.3458 3.7259
```

Largest 10 diffraction maxima, in order of falling intensity, 2θ = 15–90°:
| two_theta | I/Imax |
| --- | --- |
| 26.76 | 100.0 |
| 17.79 | 74.6 |
| 23.95 | 67.9 |
| 37.31 | 64.7 |
| 22.70 | 60.3 |
| 19.83 | 49.6 |
| 50.18 | 45.4 |
| 46.36 | 41.8 |
| 46.74 | 27.1 |
| 28.19 | 27.0 |

12.
For KNdY4S8, a PBE-relaxed structure gives the theoretical XRD peak list in this record (a wavelength of 1.5418 Å).
Intensities are scaled so that the largest is 100.

Crystal structure
```
KNdY4S8
1.0
4.1148 2.3757 6.8421
-4.1148 2.3757 6.8421
0.0000 -4.7514 6.8421
K Nd Y S
1 1 4 8
Cartesian
0.0000 0.0000 0.0000
0.0000 0.0000 12.9766
-2.1297 -1.2296 9.4366
0.0000 0.0000 5.1988
2.1297 -1.2296 9.4366
0.0000 2.4592 9.4366
0.0000 -2.2657 11.0871
-1.9622 1.1329 11.0871
0.0000 0.0000 7.9050
-1.8161 -1.0485 14.7692
1.9622 1.1329 11.0871
0.0000 0.0000 17.6633
1.8161 -1.0485 14.7692
0.0000 2.0970 14.7692
```

Largest 10 diffraction maxima, in order of falling intensity, 2θ = 15–90°:
| two_theta | I/Imax |
| --- | --- |
| 25.26 | 100.0 |
| 30.54 | 85.7 |
| 43.46 | 64.6 |
| 44.01 | 64.2 |
| 25.03 | 48.6 |
| 40.03 | 41.3 |
| 40.18 | 30.7 |
| 21.60 | 26.3 |
| 25.37 | 21.0 |
| 63.57 | 18.6 |